(1)
The following is a theoretical powder X-ray diffraction pattern of ZrP2S7. It was derived from a crystal structure in Alexandria, relaxed with PBE, using Cu Kα (weighted mean of Kα1 and Kα2).

Structure:
Unit cell a=16.933 b=15.844 c=8.866 alpha=81.22 beta=67.62 gamma=31.16
Fractional coordinates of all 40 atoms:
Zr  0.013  0.013  0.237
Zr  0.237  0.237  0.013
Zr  0.763  0.763  0.987
Zr  0.987  0.987  0.763
P  0.012  0.622  0.119
P  0.119  0.746  0.012
P  0.254  0.881  0.378
P  0.378  0.988  0.254
P  0.622  0.012  0.746
P  0.746  0.119  0.622
P  0.881  0.254  0.988
P  0.988  0.378  0.881
S  0.015  0.880  0.482
S  0.040  0.500  0.280
S  0.120  0.985  0.878
S  0.122  0.482  0.880
S  0.128  0.230  0.311
S  0.146  0.604  0.146
S  0.169  0.689  0.770
S  0.230  0.128  0.831
S  0.280  0.680  0.040
S  0.311  0.831  0.128
S  0.320  0.720  0.500
S  0.396  0.854  0.396
S  0.482  0.122  0.015
S  0.500  0.040  0.680
S  0.500  0.960  0.320
S  0.518  0.878  0.985
S  0.604  0.146  0.604
S  0.680  0.280  0.500
S  0.689  0.169  0.872
S  0.720  0.320  0.960
S  0.770  0.872  0.169
S  0.831  0.311  0.230
S  0.854  0.396  0.854
S  0.872  0.770  0.689
S  0.878  0.518  0.120
S  0.880  0.015  0.122
S  0.960  0.500  0.720
S  0.985  0.120  0.518

Largest 10 diffraction maxima, by angle, 10 to 80 degrees two-theta:
11.58 deg, I = 100
11.68 deg, I = 33
13.09 deg, I = 12
18.45 deg, I = 16
21.92 deg, I = 9
25.43 deg, I = 10
31.10 deg, I = 10
33.46 deg, I = 49
35.41 deg, I = 13
37.23 deg, I = 9

---

(2)
The following is a theoretical powder X-ray diffraction pattern of Sb4P5. It was derived from a crystal structure in Alexandria, relaxed with PBE, using Cu Kα (weighted mean of Kα1 and Kα2).

Structure:
Unit cell a=7.898 b=7.898 c=7.209 alpha=90.00 beta=90.00 gamma=120.00
Fractional coordinates of all 18 atoms:
Sb  0.000  0.000  0.000
Sb  0.000  0.000  0.500
Sb  0.000  0.417  0.250
Sb  0.000  0.583  0.750
Sb  0.417  0.000  0.250
Sb  0.417  0.417  0.750
Sb  0.583  0.000  0.750
Sb  0.583  0.583  0.250
P  0.000  0.248  0.750
P  0.000  0.752  0.250
P  0.248  0.000  0.750
P  0.248  0.248  0.250
P  0.333  0.667  0.000
P  0.333  0.667  0.500
P  0.667  0.333  0.000
P  0.667  0.333  0.500
P  0.752  0.000  0.250
P  0.752  0.752  0.750

Largest 10 diffraction maxima, by angle, 10 to 80 degrees two-theta:
24.70 deg, I = 21
25.72 deg, I = 40
26.06 deg, I = 67
27.98 deg, I = 26
33.67 deg, I = 100
36.94 deg, I = 61
39.53 deg, I = 27
43.06 deg, I = 21
49.70 deg, I = 41
51.95 deg, I = 22

---

(3)
The following is a theoretical powder X-ray diffraction pattern of Sb5P. It was derived from a crystal structure in Alexandria, relaxed with PBE, using Cu Kα (weighted mean of Kα1 and Kα2).

Structure:
Unit cell a=12.918 b=4.228 c=6.216 alpha=90.00 beta=90.11 gamma=90.00
Fractional coordinates of all 12 atoms:
Sb  0.000  0.000  0.000
Sb  0.008  0.000  0.479
Sb  0.176  0.500  0.508
Sb  0.184  0.500  0.989
Sb  0.344  0.000  0.553
Sb  0.500  0.500  0.000
Sb  0.508  0.500  0.479
Sb  0.676  0.000  0.508
Sb  0.684  0.000  0.989
Sb  0.844  0.500  0.553
P  0.344  0.000  0.974
P  0.844  0.500  0.974

Largest 10 diffraction maxima, by angle, 10 to 80 degrees two-theta:
28.73 deg, I = 49
29.61 deg, I = 100
41.73 deg, I = 70
41.96 deg, I = 19
42.78 deg, I = 18
51.65 deg, I = 19
52.35 deg, I = 19
61.47 deg, I = 12
69.15 deg, I = 15
77.63 deg, I = 12

---

(4)
The following is a theoretical powder X-ray diffraction pattern of SbP. It was derived from a crystal structure in Alexandria, relaxed with PBE, using Cu Kα (weighted mean of Kα1 and Kα2).

Structure:
Unit cell a=4.780 b=4.780 c=5.892 alpha=90.00 beta=90.00 gamma=120.00
Fractional coordinates of all 4 atoms:
Sb  0.333  0.667  0.000
Sb  0.667  0.333  0.500
P  0.333  0.667  0.560
P  0.667  0.333  0.060

Largest 10 diffraction maxima, by angle, 10 to 80 degrees two-theta:
21.47 deg, I = 77
26.31 deg, I = 100
30.34 deg, I = 39
37.47 deg, I = 32
37.64 deg, I = 70
46.50 deg, I = 22
49.08 deg, I = 58
51.50 deg, I = 23
61.30 deg, I = 19
76.19 deg, I = 16

---

(5)
The following is a theoretical powder X-ray diffraction pattern of SbP. It was derived from a crystal structure in Alexandria, relaxed with PBE, using Cu Kα (weighted mean of Kα1 and Kα2).

Structure:
Unit cell a=5.783 b=3.272 c=5.871 alpha=90.00 beta=109.31 gamma=90.00
Fractional coordinates of all 4 atoms:
Sb  0.245  0.250  0.018
Sb  0.755  0.750  0.982
P  0.139  0.250  0.547
P  0.861  0.750  0.453

Largest 10 diffraction maxima, by angle, 10 to 80 degrees two-theta:
15.99 deg, I = 99
31.39 deg, I = 38
31.89 deg, I = 100
32.31 deg, I = 48
32.82 deg, I = 35
33.24 deg, I = 45
38.34 deg, I = 25
41.74 deg, I = 36
50.04 deg, I = 31
55.31 deg, I = 19

---

(6)
The following is a theoretical powder X-ray diffraction pattern of SbPSe2. It was derived from a crystal structure in Alexandria, relaxed with PBE, using Cu Kα (weighted mean of Kα1 and Kα2).

Structure:
Unit cell a=5.691 b=7.261 c=12.155 alpha=75.35 beta=87.60 gamma=84.61
Fractional coordinates of all 16 atoms:
Sb  0.014  0.302  0.492
Sb  0.301  0.242  0.796
Sb  0.699  0.758  0.204
Sb  0.986  0.698  0.508
P  0.354  0.227  0.052
P  0.424  0.592  0.719
P  0.576  0.408  0.281
P  0.646  0.773  0.948
Se  0.174  0.417  0.276
Se  0.284  0.922  0.120
Se  0.303  0.733  0.869
Se  0.427  0.201  0.589
Se  0.573  0.799  0.411
Se  0.697  0.267  0.131
Se  0.716  0.078  0.880
Se  0.826  0.583  0.724

Largest 10 diffraction maxima, by angle, 10 to 80 degrees two-theta:
13.00 deg, I = 71
17.51 deg, I = 68
22.69 deg, I = 62
24.66 deg, I = 54
25.45 deg, I = 68
27.62 deg, I = 58
29.88 deg, I = 76
31.52 deg, I = 68
32.37 deg, I = 100
34.64 deg, I = 58

---

(7)
The following is a theoretical powder X-ray diffraction pattern of SbPSe2. It was derived from a crystal structure in Alexandria, relaxed with PBE, using Cu Kα (weighted mean of Kα1 and Kα2).

Structure:
Unit cell a=6.121 b=7.319 c=11.614 alpha=95.19 beta=95.04 gamma=111.87
Fractional coordinates of all 16 atoms:
Sb  0.000  0.000  0.000
Sb  0.017  0.736  0.255
Sb  0.353  0.666  0.706
Sb  0.551  0.941  0.359
P  0.124  0.108  0.226
P  0.170  0.284  0.766
P  0.508  0.235  0.819
P  0.731  0.531  0.530
Se  0.104  0.367  0.948
Se  0.346  0.515  0.487
Se  0.417  0.996  0.946
Se  0.530  0.256  0.262
Se  0.576  0.735  0.173
Se  0.604  0.098  0.664
Se  0.801  0.679  0.724
Se  0.970  0.835  0.474

Largest 10 diffraction maxima, by angle, 10 to 80 degrees two-theta:
13.15 deg, I = 59
16.13 deg, I = 65
28.22 deg, I = 33
28.92 deg, I = 100
29.31 deg, I = 48
30.97 deg, I = 52
31.20 deg, I = 38
31.75 deg, I = 41
33.79 deg, I = 32
41.66 deg, I = 27

---

(8)
The following is a theoretical powder X-ray diffraction pattern of SbP3Se9. It was derived from a crystal structure in Alexandria, relaxed with PBE, using Cu Kα (weighted mean of Kα1 and Kα2).

Structure:
Unit cell a=10.944 b=10.944 c=12.421 alpha=124.28 beta=124.28 gamma=48.99
Fractional coordinates of all 26 atoms:
Sb  0.136  0.864  0.500
Sb  0.864  0.136  0.000
P  0.151  0.300  0.838
P  0.297  0.529  0.686
P  0.300  0.151  0.338
P  0.529  0.297  0.186
P  0.699  0.998  0.320
P  0.998  0.699  0.820
Se  0.010  0.632  0.611
Se  0.046  0.185  0.850
Se  0.123  0.305  0.205
Se  0.126  0.888  0.113
Se  0.185  0.046  0.350
Se  0.248  0.443  0.063
Se  0.305  0.123  0.705
Se  0.348  0.698  0.684
Se  0.439  0.504  0.886
Se  0.443  0.248  0.563
Se  0.504  0.439  0.386
Se  0.543  0.901  0.287
Se  0.632  0.010  0.111
Se  0.698  0.348  0.184
Se  0.729  0.930  0.804
Se  0.888  0.126  0.613
Se  0.901  0.543  0.787
Se  0.930  0.729  0.304

Largest 10 diffraction maxima, by angle, 10 to 80 degrees two-theta:
11.29 deg, I = 79
16.55 deg, I = 50
18.23 deg, I = 78
21.61 deg, I = 68
24.41 deg, I = 39
26.85 deg, I = 36
27.01 deg, I = 100
29.79 deg, I = 70
30.93 deg, I = 38
33.46 deg, I = 69